Structure and calculated powder diffraction line list of TaF3 (DFT lattice parameters and positions (PBE); Cu Ka).
Lines closer than 0.1° are merged.

Structure:
abc: 4.167 4.167 4.167
angles: 90.00 90.00 90.00
Fractional coordinates of all 4 atoms:
Ta: 0.000 0.000 0.000
F: 0.000 0.000 0.500
F: 0.000 0.500 0.000
F: 0.500 0.000 0.000

The 8 most intense peaks (2θ from 5° to 70°), in order of rising 2θ:
- 21.32°, I = 100, (1 0 0)
- 30.34°, I = 52, (1 1 0)
- 37.38°, I = 12, (1 1 1)
- 43.44°, I = 22, (2 0 0)
- 48.88°, I = 44, (2 1 0)
- 53.90°, I = 22, (2 1 1)
- 63.11°, I = 14, (2 2 0)
- 67.43°, I = 20, (3 0 0)